Calculated powder diffractogram of Tb5Er12Sc for a wavelength of 1.5418 Å, from a structure optimized by DFT (GGA-PBE).

Crystal structure
```
data_Tb5Er12Sc
_chemical_formula_sum 'Tb10 Er24 Sc2'
_cell_length_a 6.093
_cell_length_b 10.550
_cell_length_c 17.224
_cell_angle_alpha 90.00
_cell_angle_beta 96.78
_cell_angle_gamma 90.00
_symmetry_space_group_name_H-M 'C 1 2/m 1'
_symmetry_Int_Tables_number 12
loop_
_symmetry_equiv_pos_as_xyz
'x,y,z'
'-x,-y,-z'
'-x,y,-z'
'x,-y,z'
'x+1/2,y+1/2,z'
'-x+1/2,-y+1/2,-z'
'-x+1/2,y+1/2,-z'
'x+1/2,-y+1/2,z'
loop_
_atom_site_label
_atom_site_fract_x
_atom_site_fract_y
_atom_site_fract_z
_atom_site_occupancy
Tb1 0.000 0.000 0.000 1
Tb2 0.000 0.167 0.500 1
Tb3 0.000 0.333 0.000 1
Er1 0.111 0.334 0.334 1
Er2 0.114 0.000 0.334 1
Er3 0.223 0.167 0.168 1
Er4 0.224 0.500 0.168 1
Sc1 0.000 0.500 0.500 1
```

Principal peaks in the range 2θ = 10–90°, sorted by position:
two_theta	I_rel
30.62	91
31.38	91
31.81	49
32.54	100
34.23	84
35.19	38
37.29	56
50.72	22
52.00	67
55.48	23
62.01	79
88.25	31